# 1
Diffraction record for PmGaRh4. The powder diffractogram is computed, not measured: it uses a structure optimized by DFT (GGA-PBE) and copper Kα.
Neutral-atom scattering factors, no anomalous dispersion.

Main lines, most intense first (10° ≤ 2θ ≤ 90°):
2θ/deg, I (rel.)
42.34, 100.0
35.46, 97.3
36.57, 49.6
45.65, 42.1
39.27, 35.2
48.75, 21.1
61.76, 18.3
38.44, 17.9

Atomic structure:
```
data_PmGaRh4
_cell_length_a 7.472
_cell_length_b 3.974
_cell_length_c 6.882
_cell_angle_alpha 90.00
_cell_angle_beta 90.00
_cell_angle_gamma 90.00
_symmetry_space_group_name_H-M 'P 1'
_symmetry_Int_Tables_number 1
_symmetry_space_group_name_Hall 'P 1'
loop_
_atom_site_label
_atom_site_fract_x
_atom_site_fract_y
_atom_site_fract_z
Pm1 0.250 0.000 0.152
Pm2 0.750 0.000 0.848
Ga1 0.250 0.000 0.727
Ga2 0.750 0.000 0.273
Rh1 0.000 0.000 0.500
Rh2 0.049 0.500 0.807
Rh3 0.250 0.500 0.457
Rh4 0.451 0.500 0.807
Rh5 0.500 0.000 0.500
Rh6 0.549 0.500 0.193
Rh7 0.750 0.500 0.543
Rh8 0.951 0.500 0.193
```

# 2
Diffraction record for Pm2Ga9Rh3. The powder diffractogram is computed, not measured: it uses a structure optimized by DFT (GGA-PBE) and copper Kα.
Neutral-atom scattering factors, no anomalous dispersion.

Main lines, most intense first (10° ≤ 2θ ≤ 90°):
2θ/deg, I (rel.)
36.65, 100.0
41.05, 82.9
36.54, 53.9
40.90, 41.9
37.40, 27.6
29.88, 18.9
56.72, 17.4
71.77, 15.6

Atomic structure:
```
data_Pm2Ga9Rh3
_cell_length_a 7.635
_cell_length_b 7.635
_cell_length_c 10.596
_cell_angle_alpha 111.32
_cell_angle_beta 111.32
_cell_angle_gamma 59.76
_symmetry_space_group_name_H-M 'P 1'
_symmetry_Int_Tables_number 1
_symmetry_space_group_name_Hall 'P 1'
loop_
_atom_site_label
_atom_site_fract_x
_atom_site_fract_y
_atom_site_fract_z
Pm1 0.086 0.252 0.250
Pm2 0.252 0.086 0.750
Pm3 0.748 0.914 0.250
Pm4 0.914 0.748 0.750
Ga1 0.026 0.858 0.077
Ga2 0.142 0.974 0.423
Ga3 0.194 0.360 0.577
Ga4 0.212 0.581 0.252
Ga5 0.312 0.481 0.938
Ga6 0.360 0.194 0.077
Ga7 0.372 0.628 0.750
Ga8 0.419 0.788 0.248
Ga9 0.481 0.312 0.438
Ga10 0.519 0.688 0.562
Ga11 0.581 0.212 0.752
Ga12 0.628 0.372 0.250
Ga13 0.640 0.806 0.923
Ga14 0.688 0.519 0.062
Ga15 0.788 0.419 0.748
Ga16 0.806 0.640 0.423
Ga17 0.858 0.026 0.577
Ga18 0.974 0.142 0.923
Rh1 0.000 0.500 0.000
Rh2 0.159 0.671 0.499
Rh3 0.329 0.841 0.001
Rh4 0.500 0.000 0.500
Rh5 0.671 0.159 0.999
Rh6 0.841 0.329 0.501
```

# 3
Diffraction record for Pm3Ga3Rh2. The powder diffractogram is computed, not measured: it uses a structure optimized by DFT (GGA-PBE) and copper Kα.
Neutral-atom scattering factors, no anomalous dispersion.

Main lines, most intense first (10° ≤ 2θ ≤ 90°):
2θ/deg, I (rel.)
32.43, 100.0
37.41, 55.2
42.12, 40.2
33.42, 35.4
40.63, 28.0
34.44, 25.6
65.53, 20.4
65.19, 20.1

Atomic structure:
```
data_Pm3Ga3Rh2
_cell_length_a 5.704
_cell_length_b 5.704
_cell_length_c 15.347
_cell_angle_alpha 90.00
_cell_angle_beta 90.00
_cell_angle_gamma 135.81
_symmetry_space_group_name_H-M 'P 1'
_symmetry_Int_Tables_number 1
_symmetry_space_group_name_Hall 'P 1'
loop_
_atom_site_label
_atom_site_fract_x
_atom_site_fract_y
_atom_site_fract_z
Pm1 0.069 0.931 0.609
Pm2 0.069 0.931 0.891
Pm3 0.347 0.653 0.750
Pm4 0.653 0.347 0.250
Pm5 0.931 0.069 0.109
Pm6 0.931 0.069 0.391
Ga1 0.356 0.644 0.534
Ga2 0.356 0.644 0.966
Ga3 0.360 0.640 0.250
Ga4 0.640 0.360 0.750
Ga5 0.644 0.356 0.034
Ga6 0.644 0.356 0.466
Rh1 0.214 0.786 0.110
Rh2 0.214 0.786 0.390
Rh3 0.786 0.214 0.610
Rh4 0.786 0.214 0.890
```

# 4
Diffraction record for Pm2Ga3Rh2. The powder diffractogram is computed, not measured: it uses a structure optimized by DFT (GGA-PBE) and copper Kα.
Neutral-atom scattering factors, no anomalous dispersion.

Main lines, most intense first (10° ≤ 2θ ≤ 90°):
2θ/deg, I (rel.)
34.36, 100.0
33.40, 98.7
42.43, 46.7
43.20, 44.6
38.50, 33.8
36.13, 31.8
62.16, 29.9
55.71, 24.4

Atomic structure:
```
data_Pm2Ga3Rh2
_cell_length_a 9.592
_cell_length_b 9.592
_cell_length_c 7.027
_cell_angle_alpha 90.00
_cell_angle_beta 90.00
_cell_angle_gamma 154.34
_symmetry_space_group_name_H-M 'P 1'
_symmetry_Int_Tables_number 1
_symmetry_space_group_name_Hall 'P 1'
loop_
_atom_site_label
_atom_site_fract_x
_atom_site_fract_y
_atom_site_fract_z
Pm1 0.058 0.942 0.750
Pm2 0.162 0.838 0.250
Pm3 0.838 0.162 0.750
Pm4 0.942 0.058 0.250
Ga1 0.219 0.781 0.750
Ga2 0.439 0.561 0.571
Ga3 0.439 0.561 0.929
Ga4 0.561 0.439 0.071
Ga5 0.561 0.439 0.429
Ga6 0.781 0.219 0.250
Rh1 0.308 0.692 0.045
Rh2 0.308 0.692 0.455
Rh3 0.692 0.308 0.545
Rh4 0.692 0.308 0.955
```